As2SeS2: theoretical powder diffraction line list (Cu Kα, 1.54184 Å), based on a crystal structure in the Materials Project, relaxed with PBE.
Lines closer than 0.1° are merged.

Largest 10 diffraction maxima, sorted by position, 15 to 90 degrees two-theta:
two_theta	I (rel.)
16.97	89
21.25	33
24.45	100
29.77	38
30.23	100
32.14	97
34.34	25
39.01	25
48.48	27
49.36	29

Structure:
Lattice parameters (Å, degrees): 4.3080 10.4493 12.1905 90.00 103.95 90.00
Element x y z (fractional)
1 As 0.1678 0.1942 0.2462
2 As 0.1678 0.3058 0.7462
3 As 0.2512 0.6816 0.9969
4 As 0.2512 0.8184 0.4969
5 As 0.7488 0.1816 0.5031
6 As 0.7488 0.3184 0.0031
7 As 0.8322 0.6942 0.2538
8 As 0.8322 0.8058 0.7538
9 Se 0.2026 0.0977 0.6532
10 Se 0.2026 0.4023 0.1532
11 Se 0.7974 0.5977 0.8468
12 Se 0.7974 0.9023 0.3468
13 S 0.0263 0.6967 0.6182
14 S 0.0263 0.8033 0.1182
15 S 0.2698 0.6354 0.3961
16 S 0.2698 0.8646 0.8961
17 S 0.7302 0.1354 0.1039
18 S 0.7302 0.3646 0.6039
19 S 0.9737 0.1967 0.8818
20 S 0.9737 0.3033 0.3818